Record 1
Calculated powder X-ray diffraction pattern
Compound: Sn4Pb5
Radiation: Cu Kα
Structure: a structure optimized by DFT (PBE)
Neutral-atom scattering factors, no anomalous dispersion.

Structure:
```
Sn4Pb5
1.0
5.811 -5.389 0.000
5.811 5.389 0.000
-1.807 0.000 4.311
Sn Pb
4 5
direct
0.000 0.338 0.168 Sn
0.000 0.662 0.832 Sn
0.338 0.000 0.168 Sn
0.662 0.000 0.832 Sn
0.000 0.000 0.500 Pb
0.327 0.327 0.827 Pb
0.328 0.672 0.500 Pb
0.672 0.328 0.500 Pb
0.673 0.673 0.173 Pb
```

Peak list (6 most intense, 2θ = 15–90°, in order of rising 2θ)
2θ 31.2, d 2.862, I 50.6; 2θ 31.4, d 2.848, I 100.0; 2θ 31.8, d 2.816, I 48.5; 2θ 35.4, d 2.533, I 73.3; 2θ 38.5, d 2.337, I 29.3; 2θ 60.9, d 1.521, I 31.3


Record 2
Calculated powder X-ray diffraction pattern
Compound: LiAcOF2
Radiation: Cu Kα
Structure: a structure optimized by DFT (PBE)
Neutral-atom scattering factors, no anomalous dispersion.

Structure:
```
LiAcOF2
1.0
-2.686 2.686 4.361
2.686 -2.686 4.361
2.686 2.686 -4.361
Li Ac O F
2 2 2 4
direct
0.000 0.000 0.000 Li
0.500 0.500 0.000 Li
0.250 0.750 0.500 Ac
0.750 0.250 0.500 Ac
0.250 0.250 0.000 O
0.750 0.750 0.000 O
0.184 0.684 0.867 F
0.316 0.184 0.500 F
0.684 0.816 0.500 F
0.816 0.316 0.133 F
```

Peak list (6 most intense, 2θ = 15–90°, in order of rising 2θ)
2θ 20.4, d 4.361, I 60.8; 2θ 23.4, d 3.798, I 100.0; 2θ 31.2, d 2.864, I 96.2; 2θ 33.4, d 2.686, I 46.3; 2θ 39.4, d 2.287, I 84.7; 2θ 58.3, d 1.583, I 42.4


Record 3
Calculated powder X-ray diffraction pattern
Compound: AcPm3Pb5
Radiation: Cu Kα
Structure: a structure optimized by DFT (PBE)
Neutral-atom scattering factors, no anomalous dispersion.

Structure:
```
AcPm3Pb5
1.0
9.873 0.000 0.000
-4.937 8.551 0.000
0.000 0.000 6.757
Ac Pm Pb
2 6 10
direct
0.000 0.000 0.000 Ac
0.000 0.000 0.500 Ac
0.000 0.376 0.250 Pm
0.000 0.624 0.750 Pm
0.376 0.000 0.250 Pm
0.376 0.376 0.750 Pm
0.624 0.000 0.750 Pm
0.624 0.624 0.250 Pm
0.000 0.305 0.750 Pb
0.000 0.695 0.250 Pb
0.305 0.000 0.750 Pb
0.305 0.305 0.250 Pb
0.333 0.667 0.000 Pb
0.333 0.667 0.500 Pb
0.667 0.333 0.000 Pb
0.667 0.333 0.500 Pb
0.695 0.000 0.250 Pb
0.695 0.695 0.750 Pb
```

Peak list (6 most intense, 2θ = 15–90°, in order of rising 2θ)
2θ 30.7, d 2.915, I 17.6; 2θ 31.4, d 2.850, I 97.6; 2θ 32.1, d 2.788, I 100.0; 2θ 45.5, d 1.993, I 33.4; 2θ 56.3, d 1.633, I 36.3; 2θ 64.1, d 1.453, I 26.2


Record 4
Calculated powder X-ray diffraction pattern
Compound: HfTa3Te
Radiation: Cu Kα
Structure: a structure optimized by DFT (PBE)
Neutral-atom scattering factors, no anomalous dispersion.

Structure:
```
HfTa3Te
1.0
4.963 0.000 0.000
0.000 4.963 0.000
0.000 0.000 4.963
Hf Ta Te
1 3 1
direct
0.000 0.000 0.000 Hf
0.000 0.500 0.500 Ta
0.500 0.000 0.500 Ta
0.500 0.500 0.000 Ta
0.500 0.500 0.500 Te
```

Peak list (6 most intense, 2θ = 15–90°, in order of rising 2θ)
2θ 31.2, d 2.865, I 97.5; 2θ 36.2, d 2.481, I 100.0; 2θ 52.1, d 1.755, I 71.2; 2θ 62.0, d 1.496, I 42.4; 2θ 65.1, d 1.433, I 24.4; 2θ 88.0, d 1.110, I 33.4


Record 5
Calculated powder X-ray diffraction pattern
Compound: Pu2C3N6
Radiation: Cu Kα
Structure: a structure optimized by DFT (PBE)
Neutral-atom scattering factors, no anomalous dispersion.

Structure:
```
Pu2C3N6
1.0
7.268 -1.960 0.000
7.268 1.960 0.000
-0.612 0.000 5.290
Pu C N
2 3 6
direct
0.136 0.136 0.069 Pu
0.864 0.864 0.931 Pu
0.000 0.000 0.500 C
0.330 0.330 0.412 C
0.670 0.670 0.588 C
0.010 0.010 0.733 N
0.313 0.313 0.176 N
0.344 0.344 0.643 N
0.656 0.656 0.357 N
0.687 0.687 0.824 N
0.990 0.990 0.267 N
```

Peak list (6 most intense, 2θ = 15–90°, in order of rising 2θ)
2θ 16.8, d 5.290, I 100.0; 2θ 23.5, d 3.784, I 61.4; 2θ 24.7, d 3.610, I 55.4; 2θ 28.3, d 3.155, I 39.6; 2θ 28.6, d 3.122, I 77.0; 2θ 35.1, d 2.557, I 53.9


Record 6
Calculated powder X-ray diffraction pattern
Compound: SnP2O8
Radiation: Cu Kα
Structure: a structure optimized by DFT (PBE)
Neutral-atom scattering factors, no anomalous dispersion.

Structure:
```
SnP2O8
1.0
5.368 0.000 0.000
-2.684 4.649 0.000
0.000 0.000 6.714
Sn P O
1 2 8
direct
0.000 0.000 0.000 Sn
0.333 0.667 0.752 P
0.667 0.333 0.248 P
0.176 0.352 0.820 O
0.176 0.824 0.820 O
0.333 0.667 0.521 O
0.352 0.176 0.180 O
0.648 0.824 0.820 O
0.667 0.333 0.479 O
0.824 0.176 0.180 O
0.824 0.648 0.180 O
```

Peak list (6 most intense, 2θ = 15–90°, in order of rising 2θ)
2θ 19.1, d 4.649, I 17.2; 2θ 23.3, d 3.822, I 100.0; 2θ 32.9, d 2.722, I 24.4; 2θ 33.4, d 2.684, I 23.3; 2θ 47.6, d 1.911, I 16.1; 2θ 53.9, d 1.700, I 18.6


Record 7
Calculated powder X-ray diffraction pattern
Compound: Ca3P4Rh13
Radiation: Cu Kα
Structure: a structure optimized by DFT (PBE)
Neutral-atom scattering factors, no anomalous dispersion.

Structure:
```
Ca3P4Rh13
1.0
8.662 0.000 0.000
0.000 8.662 0.000
0.000 0.000 8.662
Ca P Rh
6 8 26
direct
0.000 0.250 0.500 Ca
0.000 0.750 0.500 Ca
0.250 0.500 0.000 Ca
0.500 0.000 0.250 Ca
0.500 0.000 0.750 Ca
0.750 0.500 0.000 Ca
0.250 0.250 0.250 P
0.250 0.250 0.750 P
0.250 0.750 0.250 P
0.250 0.750 0.750 P
0.750 0.250 0.250 P
0.750 0.250 0.750 P
0.750 0.750 0.250 P
0.750 0.750 0.750 P
0.000 0.000 0.000 Rh
0.000 0.273 0.158 Rh
0.000 0.273 0.842 Rh
0.000 0.727 0.158 Rh
0.000 0.727 0.842 Rh
0.158 0.000 0.273 Rh
0.158 0.000 0.727 Rh
0.227 0.500 0.342 Rh
0.227 0.500 0.658 Rh
0.273 0.158 0.000 Rh
0.273 0.842 0.000 Rh
0.342 0.227 0.500 Rh
0.342 0.773 0.500 Rh
0.500 0.342 0.227 Rh
0.500 0.342 0.773 Rh
0.500 0.500 0.500 Rh
0.500 0.658 0.227 Rh
0.500 0.658 0.773 Rh
0.658 0.227 0.500 Rh
0.658 0.773 0.500 Rh
0.727 0.158 0.000 Rh
0.727 0.842 0.000 Rh
0.773 0.500 0.342 Rh
0.773 0.500 0.658 Rh
0.842 0.000 0.273 Rh
0.842 0.000 0.727 Rh
```

Peak list (6 most intense, 2θ = 15–90°, in order of rising 2θ)
2θ 37.4, d 2.402, I 100.0; 2θ 38.9, d 2.315, I 28.4; 2θ 41.7, d 2.165, I 24.3; 2θ 43.1, d 2.101, I 18.6; 2θ 48.1, d 1.890, I 18.8; 2θ 73.3, d 1.291, I 16.3


Record 8
Calculated powder X-ray diffraction pattern
Compound: SnI2O8
Radiation: Cu Kα
Structure: a structure optimized by DFT (PBE)
Neutral-atom scattering factors, no anomalous dispersion.

Structure:
```
SnI2O8
1.0
6.042 0.000 0.000
-3.021 5.233 0.000
0.000 0.000 6.486
Sn I O
1 2 8
direct
0.000 0.000 0.000 Sn
0.333 0.667 0.726 I
0.667 0.333 0.274 I
0.159 0.318 0.804 O
0.159 0.841 0.804 O
0.318 0.159 0.196 O
0.333 0.667 0.452 O
0.667 0.333 0.548 O
0.682 0.841 0.804 O
0.841 0.159 0.196 O
0.841 0.682 0.196 O
```

Peak list (6 most intense, 2θ = 15–90°, in order of rising 2θ)
2θ 21.8, d 4.073, I 100.0; 2θ 29.6, d 3.021, I 40.0; 2θ 32.5, d 2.757, I 20.1; 2θ 37.1, d 2.426, I 11.1; 2θ 44.5, d 2.036, I 14.9; 2θ 48.1, d 1.892, I 23.8


Record 9
Calculated powder X-ray diffraction pattern
Compound: RbSnH3
Radiation: Cu Kα
Structure: a structure optimized by DFT (PBE)
Neutral-atom scattering factors, no anomalous dispersion.

Structure:
```
RbSnH3
1.0
6.212 0.000 0.000
0.000 5.263 0.000
0.000 0.000 6.614
Rb Sn H
2 2 6
direct
0.000 0.002 0.000 Rb
0.500 0.998 0.500 Rb
0.000 0.508 0.553 Sn
0.500 0.492 0.053 Sn
0.000 0.263 0.363 H
0.205 0.335 0.695 H
0.295 0.665 0.195 H
0.500 0.737 0.863 H
0.705 0.665 0.195 H
0.795 0.335 0.695 H
```

Peak list (6 most intense, 2θ = 15–90°, in order of rising 2θ)
2θ 26.0, d 3.433, I 100.0; 2θ 27.0, d 3.307, I 20.4; 2θ 28.7, d 3.106, I 19.6; 2θ 39.8, d 2.264, I 14.9; 2θ 47.0, d 1.933, I 16.0; 2θ 49.3, d 1.850, I 17.4


Record 10
Calculated powder X-ray diffraction pattern
Compound: LiCaBO3
Radiation: Cu Kα
Structure: a structure optimized by DFT (PBE)
Neutral-atom scattering factors, no anomalous dispersion.

Structure:
```
LiCaBO3
1.0
-3.061 3.090 6.696
3.061 -3.090 6.696
3.061 3.090 -6.696
Li Ca B O
4 4 4 12
direct
0.028 0.250 0.278 Li
0.472 0.750 0.222 Li
0.528 0.250 0.778 Li
0.972 0.750 0.722 Li
0.070 0.320 0.750 Ca
0.430 0.180 0.250 Ca
0.570 0.820 0.750 Ca
0.930 0.680 0.250 Ca
0.148 0.898 0.250 B
0.352 0.602 0.750 B
0.648 0.398 0.250 B
0.852 0.102 0.750 B
0.041 0.014 0.746 O
0.232 0.705 0.246 O
0.249 0.499 0.750 O
0.251 0.001 0.250 O
0.268 0.514 0.473 O
0.459 0.205 0.973 O
0.541 0.795 0.027 O
0.732 0.486 0.527 O
0.749 0.999 0.750 O
0.751 0.501 0.250 O
0.768 0.295 0.754 O
0.959 0.986 0.254 O
```

Peak list (6 most intense, 2θ = 15–90°, in order of rising 2θ)
2θ 28.9, d 3.090, I 96.2; 2θ 29.2, d 3.061, I 87.1; 2θ 33.8, d 2.653, I 93.3; 2θ 40.4, d 2.232, I 70.9; 2θ 41.5, d 2.175, I 100.0; 2θ 54.4, d 1.687, I 50.9


Record 11
Calculated powder X-ray diffraction pattern
Compound: Zn2HgF6
Radiation: Cu Kα
Structure: a structure optimized by DFT (PBE)
Neutral-atom scattering factors, no anomalous dispersion.

Structure:
```
Zn2HgF6
1.0
2.828 1.633 4.788
-2.828 1.633 4.788
0.000 -3.266 4.788
Zn Hg F
2 1 6
direct
0.000 0.000 0.000 Zn
0.204 0.204 0.204 Zn
0.702 0.702 0.702 Hg
0.093 0.838 0.376 F
0.251 0.601 0.965 F
0.376 0.093 0.838 F
0.601 0.965 0.251 F
0.838 0.376 0.093 F
0.965 0.251 0.601 F
```

Peak list (6 most intense, 2θ = 15–90°, in order of rising 2θ)
2θ 19.1, d 4.637, I 39.1; 2θ 22.0, d 4.047, I 100.0; 2θ 30.9, d 2.896, I 75.6; 2θ 31.6, d 2.828, I 68.5; 2θ 36.9, d 2.435, I 48.7; 2θ 49.9, d 1.827, I 53.7


Record 12
Calculated powder X-ray diffraction pattern
Compound: Tm4RuPb2
Radiation: Cu Kα
Structure: a structure optimized by DFT (PBE)
Neutral-atom scattering factors, no anomalous dispersion.

Structure:
```
Tm4RuPb2
1.0
5.628 -2.321 0.000
5.628 2.321 0.000
-4.804 0.000 7.176
Tm Ru Pb
4 1 2
direct
0.060 0.060 0.348 Tm
0.336 0.336 0.949 Tm
0.664 0.664 0.051 Tm
0.940 0.940 0.652 Tm
0.000 0.000 0.000 Ru
0.331 0.331 0.324 Pb
0.669 0.669 0.676 Pb
```

Peak list (6 most intense, 2θ = 15–90°, in order of rising 2θ)
2θ 27.3, d 3.264, I 39.4; 2θ 28.6, d 3.125, I 54.6; 2θ 32.0, d 2.796, I 34.5; 2θ 34.7, d 2.588, I 91.1; 2θ 37.6, d 2.392, I 100.0; 2θ 38.8, d 2.321, I 48.1